Record 1
Cd3B7O14: theoretical PXRD pattern (Cu Kα, 1.54184 Å), based on a PBE-relaxed structure.

Cell and atoms:
a b c (Å): 8.9352 8.9352 21.7225
angles (deg): 90.00 90.00 120.00
Space group R3c (No. 161, hexagonal axes)
Inequivalent atoms, fractional coordinates:
Cd (0.0613, 0.5275, 0.0000)
B (0.0000, 0.0000, 0.1189)
B (0.0064, 0.4997, 0.2641)
B (0.0987, 0.1992, 0.4841)
O (0.0000, 0.0000, 0.3008)
O (0.0000, 0.0000, 0.4973)
O (0.0109, 0.1593, 0.6212)
O (0.0204, 0.2314, 0.9298)
O (0.0358, 0.4568, 0.7027)
O (0.0792, 0.3857, 0.1394)

Main lines, low angle first (2θ = 15–90°):
2θ = 19.97°, intensity 51.0, hkl 1 0 4; 2θ = 24.42°, intensity 62.4, hkl 2 0 2; 2θ = 24.59°, intensity 62.3, hkl 0 0 6; 2θ = 28.32°, intensity 100.0, hkl 0 2 4; 2θ = 31.68°, intensity 44.7, hkl 1 2 2; 2θ = 34.80°, intensity 71.9, hkl 3 0 0; 2θ = 40.59°, intensity 32.6, hkl 2 0 8; 2θ = 43.06°, intensity 40.6, hkl 0 3 6; 2θ = 47.82°, intensity 29.2, hkl 2 2 6; 2θ = 54.36°, intensity 33.4, hkl 3 2 4



Record 2
CdB2O4: theoretical PXRD pattern (Cu Kα, 1.54184 Å), based on a PBE-relaxed structure.

Cell and atoms:
a b c (Å): 8.265 14.238 5.120
angles (deg): 90.00 90.00 90.00
Space group Pccn (No. 56)
Inequivalent atoms, fractional coordinates:
Cd (0.115, 0.149, 0.013)
B (0.035, 0.638, 0.974)
B (0.244, 0.552, 0.235)
O (0.089, 0.606, 0.211)
O (0.107, 0.189, 0.544)
O (0.119, 0.619, 0.749)
O (0.238, 0.003, 0.984)

Main lines, low angle first (2θ = 15–90°):
2θ = 21.35°, intensity 32.7, hkl 1 1 1; 2θ = 25.02°, intensity 51.3, hkl 0 4 0; 2θ = 27.81°, intensity 40.4, hkl 1 3 1; 2θ = 30.50°, intensity 100.0, hkl 2 2 1; 2θ = 33.26°, intensity 28.6, hkl 1 5 0; 2θ = 35.05°, intensity 19.8, hkl 0 0 2; 2θ = 37.31°, intensity 39.8, hkl 1 1 2; 2θ = 37.66°, intensity 21.2, hkl 2 4 1; 2θ = 49.00°, intensity 23.4, hkl 3 1 2; 2θ = 59.33°, intensity 25.0, hkl 2 8 1



Record 3
Cd3BPO7: theoretical PXRD pattern (Cu Kα, 1.54184 Å), based on a PBE-relaxed structure.

Cell and atoms:
a b c (Å): 13.549 9.011 5.160
angles (deg): 90.00 90.00 90.00
Space group Pna2_1 (No. 33)
Inequivalent atoms, fractional coordinates:
Cd (0.096, 0.083, 0.000)
Cd (0.134, 0.598, 0.492)
Cd (0.248, 0.264, 0.492)
B (0.222, 0.935, 0.489)
P (0.001, 0.728, 0.013)
O (0.006, 0.116, 0.384)
O (0.006, 0.746, 0.314)
O (0.091, 0.363, 0.431)
O (0.096, 0.643, 0.928)
O (0.216, 0.046, 0.677)
O (0.218, 0.969, 0.226)
O (0.238, 0.788, 0.560)

Main lines, low angle first (2θ = 15–90°):
2θ = 20.78°, intensity 27.7, hkl 1 2 0; 2θ = 20.89°, intensity 67.7, hkl 1 1 1; 2θ = 28.02°, intensity 100.0, hkl 3 2 0; 2θ = 33.08°, intensity 42.6, hkl 4 2 0; 2θ = 33.16°, intensity 74.6, hkl 4 1 1; 2θ = 34.55°, intensity 70.0, hkl 0 3 1; 2θ = 34.77°, intensity 48.5, hkl 0 0 2; 2θ = 45.20°, intensity 21.9, hkl 3 2 2; 2θ = 48.53°, intensity 23.0, hkl 4 4 0; 2θ = 48.76°, intensity 25.6, hkl 4 2 2



Record 4
CdB2Pb2O6: theoretical PXRD pattern (Cu Kα, 1.54184 Å), based on a PBE-relaxed structure.

Cell and atoms:
a b c (Å): 9.468 5.457 6.526
angles (deg): 90.00 118.29 90.00
Space group C2/m (No. 12)
Inequivalent atoms, fractional coordinates:
Cd (0.000, 0.000, 0.000)
B (0.038, 0.500, 0.766)
Pb (0.207, 0.000, 0.691)
O (0.052, 0.283, 0.281)
O (0.202, 0.500, 0.860)

Main lines, low angle first (2θ = 15–90°):
2θ = 19.44°, intensity 32.0, hkl 1 1 0; 2θ = 21.49°, intensity 55.0, hkl 1 1 -1; 2θ = 27.94°, intensity 69.5, hkl 1 1 1; 2θ = 28.15°, intensity 34.8, hkl 2 0 -2; 2θ = 31.94°, intensity 22.4, hkl 2 0 1; 2θ = 32.22°, intensity 37.9, hkl 1 1 -2; 2θ = 32.80°, intensity 100.0, hkl 0 2 0; 2θ = 43.78°, intensity 36.7, hkl 2 2 -2; 2θ = 46.43°, intensity 41.8, hkl 2 2 1; 2θ = 58.58°, intensity 32.7, hkl 3 1 2



Record 5
Cd3B4Pb3O12: theoretical PXRD pattern (Cu Kα, 1.54184 Å), based on a PBE-relaxed structure.

Cell and atoms:
a b c (Å): 10.2049 10.2049 7.0972
angles (deg): 90.00 90.00 120.00
Space group P6_3/m (No. 176)
Inequivalent atoms, fractional coordinates:
Cd (0.0000, 0.5000, 0.0000)
B (0.1903, 0.7991, 0.2500)
B (0.3333, 0.6667, 0.7500)
Pb (0.1358, 0.2912, 0.7500)
O (0.1022, 0.4457, 0.2500)
O (0.1062, 0.7521, 0.0828)
O (0.1881, 0.5404, 0.7500)

Main lines, low angle first (2θ = 15–90°):
2θ = 17.38°, intensity 60.4, hkl 1 1 0; 2θ = 23.72°, intensity 91.5, hkl 2 0 1; 2θ = 27.08°, intensity 30.1, hkl 1 0 2; 2θ = 29.56°, intensity 53.5, hkl 2 1 1; 2θ = 32.36°, intensity 100.0, hkl 2 0 2; 2θ = 32.92°, intensity 27.7, hkl 3 0 1; 2θ = 35.18°, intensity 75.7, hkl 2 2 0; 2θ = 43.39°, intensity 31.2, hkl 2 0 3; 2θ = 48.54°, intensity 30.9, hkl 4 0 2; 2θ = 51.94°, intensity 43.3, hkl 2 3 2